Cs2KPrCl6: simulated XRD peak list (Cu Kα X-rays), based on DFT lattice parameters and positions (GGA-PBE).

Crystal structure
Cell: 11.5773 11.5773 11.5773 Å, 90.00 90.00 90.00°
Space group Fm-3m (No. 225)
Inequivalent atoms, fractional coordinates:
Cs 0.2500 0.2500 0.2500 x8
K 0.0000 0.0000 0.0000 x4
Pr 0.0000 0.0000 0.5000 x4
Cl 0.0000 0.0000 0.2621 x24

Peak list (8 most intense, 2θ from 5° to 70°, sorted by position)
2θ 13.2, 6.684 Å, I 20
2θ 21.7, 4.093 Å, I 100
2θ 26.7, 3.342 Å, I 26
2θ 30.9, 2.894 Å, I 65
2θ 38.1, 2.363 Å, I 47
2θ 44.3, 2.047 Å, I 45
2θ 49.8, 1.831 Å, I 23
2θ 59.8, 1.547 Å, I 26